Structure and theoretical powder diffractogram of CaZn2Hg (DFT lattice parameters and positions (GGA-PBE); CuKα).
No peak broadening, texture or thermal motion is included.

Top 6 peaks for 10 to 80 degrees two-theta, low angle first:
two_theta  Rel. int.  h k l
12.54  45  0 0 1
25.41  23  1 0 0
28.43  31  1 0 1
36.11  100  1 0 2
36.24  58  1 1 0
65.10  35  2 1 2

```
data_CaZn2Hg
_symmetry_space_group_name_H-M 'P 4 m m'
_symmetry_Int_Tables_number 99
_cell_length_a 3.5057
_cell_length_b 3.5057
_cell_length_c 7.0593
_cell_angle_alpha 90.00
_cell_angle_beta 90.00
_cell_angle_gamma 90.00
loop_
_symmetry_equiv_pos_as_xyz
'x,y,z'
'-y,x,z'
'-x,-y,z'
'y,-x,z'
'-x,y,z'
'y,x,z'
'x,-y,z'
'-y,-x,z'
loop_
_atom_site_label
_atom_site_fract_x
_atom_site_fract_y
_atom_site_fract_z
Ca1 0.0000 0.0000 0.0000
Zn1 0.0000 0.0000 0.5398
Zn2 0.5000 0.5000 0.7157
Hg1 0.5000 0.5000 0.2940
```

Structure and theoretical powder diffractogram of Li3Mg2Ag3 (DFT lattice parameters and positions (GGA-PBE); CuKα).
No peak broadening, texture or thermal motion is included.

Top 6 peaks for 10 to 80 degrees two-theta, low angle first:
two_theta  Rel. int.  h k l
11.74  30  0 0 3
27.21  100  1 0 4
38.77  80  1 1 0
38.95  78  0 1 8
56.13  26  2 0 8
70.31  25  1 2 8

```
data_Li3Mg2Ag3
_symmetry_space_group_name_H-M 'R 3 m'
_symmetry_Int_Tables_number 160
_symmetry_space_group_name_Hall 'R 3 -2"'
_cell_length_a 4.6447
_cell_length_b 4.6447
_cell_length_c 22.6083
_cell_angle_alpha 90.00
_cell_angle_beta 90.00
_cell_angle_gamma 120.00
loop_
_atom_site_label
_atom_site_fract_x
_atom_site_fract_y
_atom_site_fract_z
Li1 0.0000 0.0000 0.0000
Li2 0.0000 0.0000 0.1277
Li3 0.0000 0.0000 0.6243
Mg1 0.0000 0.0000 0.3785
Mg2 0.0000 0.0000 0.8734
Ag1 0.0000 0.0000 0.2520
Ag2 0.0000 0.0000 0.5027
Ag3 0.0000 0.0000 0.7486
```

Structure and theoretical powder diffractogram of Sc2CoSn2 (DFT lattice parameters and positions (GGA-PBE); CuKα).
No peak broadening, texture or thermal motion is included.

Top 6 peaks for 10 to 80 degrees two-theta, low angle first:
two_theta  Rel. int.  h k l
23.86  61  1 0 3
29.77  35  1 1 2
38.82  100  1 1 6
40.69  53  2 0 0
47.72  21  2 1 3
72.81  31  3 1 6

```
data_Sc2CoSn2
_symmetry_space_group_name_H-M 'I 41/a m d'
_symmetry_Int_Tables_number 141
_cell_length_a 4.4347
_cell_length_b 4.4347
_cell_length_c 20.6825
_cell_angle_alpha 90.00
_cell_angle_beta 90.00
_cell_angle_gamma 90.00
loop_
_symmetry_equiv_pos_as_xyz
'x,y,z'
'-x,-y,-z'
'-y+1/4,x+3/4,z+1/4'
'y+1/4,-x+3/4,-z+1/4'
'-x+1/2,-y,z+1/2'
'x+1/2,y,-z+1/2'
'y+1/4,-x+1/4,z+3/4'
'-y+1/4,x+1/4,-z+3/4'
'x,-y,-z'
'-x,y,z'
'-y+1/4,-x+1/4,-z+3/4'
'y+1/4,x+1/4,z+3/4'
'-x+1/2,y,-z+1/2'
'x+1/2,-y,z+1/2'
'y+1/4,x+3/4,-z+1/4'
'-y+1/4,-x+3/4,z+1/4'
'x+1/2,y+1/2,z+1/2'
'-x+1/2,-y+1/2,-z+1/2'
'-y+3/4,x+1/4,z+3/4'
'y+3/4,-x+1/4,-z+3/4'
'-x,-y+1/2,z'
'x,y+1/2,-z'
'y+3/4,-x+3/4,z+1/4'
'-y+3/4,x+3/4,-z+1/4'
'x+1/2,-y+1/2,-z+1/2'
'-x+1/2,y+1/2,z+1/2'
'-y+3/4,-x+3/4,-z+1/4'
'y+3/4,x+3/4,z+1/4'
'-x,y+1/2,-z'
'x,-y+1/2,z'
'y+3/4,x+1/4,-z+3/4'
'-y+3/4,-x+1/4,z+3/4'
loop_
_atom_site_label
_atom_site_fract_x
_atom_site_fract_y
_atom_site_fract_z
Sc1 0.0000 0.2500 0.0557
Co1 0.0000 0.2500 0.8750
Sn1 0.0000 0.2500 0.1962
```